The following is a calculated XRD peak list of Lu2W3O12. It was derived from a DFT-relaxed cell (PBE+U, Alexandria), using CuKα.
No peak broadening, texture or thermal motion is included.

Structural model:
abc: 7.623 11.246 11.225
angles: 90.00 108.86 90.00
Space group C2/c (No. 15)
Asymmetric unit:
Lu  0.166  0.124  0.092 [8 per cell]
W  0.000  0.133  0.750 [4 per cell]
W  0.148  0.391  0.553 [8 per cell]
O  0.052  0.280  0.438 [8 per cell]
O  0.071  0.462  0.925 [8 per cell]
O  0.126  0.050  0.457 [8 per cell]
O  0.134  0.207  0.900 [8 per cell]
O  0.172  0.037  0.722 [8 per cell]
O  0.215  0.315  0.707 [8 per cell]

The 10 most intense peaks (5 to 70 degrees two-theta), in order of rising 2θ:
- d = 5.311 Å, 2θ = 16.69°, I = 16.2, hkl 0 0 2
- d = 3.155 Å, 2θ = 28.29°, I = 100.0, hkl 2 2 -1
- d = 2.996 Å, 2θ = 29.82°, I = 75.4, hkl 0 2 3
- d = 2.812 Å, 2θ = 31.83°, I = 27.8, hkl 0 4 0
- d = 2.617 Å, 2θ = 34.27°, I = 18.1, hkl 2 0 2
- d = 2.572 Å, 2θ = 34.88°, I = 17.0, hkl 2 0 -4
- d = 1.915 Å, 2θ = 47.47°, I = 23.0, hkl 2 4 2
- d = 1.905 Å, 2θ = 47.73°, I = 15.0, hkl 4 0 -2
- d = 1.898 Å, 2θ = 47.94°, I = 24.6, hkl 2 4 -4
- d = 1.682 Å, 2θ = 54.58°, I = 20.2, hkl 2 6 -1